1.
Simulated X-ray diffraction stick pattern of ThOsRh for Cu Kα, from a DFT-relaxed cell (GGA-PBE, Alexandria).
Intensities are scaled so that the largest is 100.

Atomic structure:
```
ThOsRh
1.0
9.2503 0.0000 0.0000
0.0000 2.5268 2.5298
0.0000 -2.5268 2.5298
Th Os Rh
2 2 2
direct
0.1925 0.0000 0.0000
0.8075 0.0000 0.0000
0.0000 0.4996 0.4996
0.5000 0.0015 0.0015
0.3581 0.5011 0.5011
0.6419 0.5011 0.5011
```

Most intense lines, 10° ≤ 2θ ≤ 80°, low angle first:
24.90 deg, intensity 9
31.63 deg, intensity 16
35.51 deg, intensity 73
38.56 deg, intensity 100
51.09 deg, intensity 26
60.01 deg, intensity 4
61.34 deg, intensity 5
62.17 deg, intensity 7
65.79 deg, intensity 42
71.70 deg, intensity 11

=====

2.
Simulated X-ray diffraction stick pattern of V6OsRh5 for Cu Kα, from a DFT-relaxed cell (GGA-PBE, Alexandria).
Intensities are scaled so that the largest is 100.

Atomic structure:
```
V6OsRh5
1.0
4.4957 0.0000 0.0000
0.0000 5.6197 0.0000
-0.7656 0.0000 6.5526
V Os Rh
6 1 5
direct
0.0000 0.2473 0.0000
0.0000 0.7527 0.0000
0.2788 0.2475 0.6919
0.2788 0.7525 0.6919
0.7212 0.2475 0.3081
0.7212 0.7525 0.3081
0.5000 0.0000 0.0000
0.2195 0.5000 0.3543
0.2202 0.0000 0.3580
0.5000 0.5000 0.0000
0.7798 0.0000 0.6420
0.7805 0.5000 0.6457
```

Most intense lines, 10° ≤ 2θ ≤ 80°, low angle first:
25.41 deg, intensity 20
31.85 deg, intensity 13
31.95 deg, intensity 16
41.17 deg, intensity 100
41.34 deg, intensity 34
45.74 deg, intensity 52
52.19 deg, intensity 12
66.56 deg, intensity 9
71.75 deg, intensity 13
71.99 deg, intensity 10

=====

3.
Simulated X-ray diffraction stick pattern of VOsRh3 for Cu Kα, from a DFT-relaxed cell (GGA-PBE, Alexandria).
Intensities are scaled so that the largest is 100.

Atomic structure:
```
VOsRh3
1.0
2.3316 -6.7990 0.0000
2.3316 6.7990 0.0000
-1.5579 0.0000 4.4106
V Os Rh
2 2 6
direct
0.1520 0.8480 0.7500
0.8480 0.1520 0.2500
0.3512 0.6488 0.7500
0.6488 0.3512 0.2500
0.0552 0.9448 0.2500
0.2512 0.7488 0.2500
0.4464 0.5536 0.2500
0.5536 0.4464 0.7500
0.7488 0.2512 0.7500
0.9448 0.0552 0.7500
```

Most intense lines, 10° ≤ 2θ ≤ 80°, low angle first:
21.24 deg, intensity 12
24.05 deg, intensity 22
28.28 deg, intensity 14
40.75 deg, intensity 100
40.92 deg, intensity 50
41.06 deg, intensity 49
47.48 deg, intensity 64
47.71 deg, intensity 33
69.49 deg, intensity 20
69.70 deg, intensity 31

=====

4.
Simulated X-ray diffraction stick pattern of Y5OsRh2 for Cu Kα, from a DFT-relaxed cell (GGA-PBE, Alexandria).
Intensities are scaled so that the largest is 100.

Atomic structure:
```
Y5OsRh2
1.0
7.5306 0.0000 0.0000
0.0000 12.0091 0.0000
0.0000 0.0000 4.2962
Y Os Rh
10 2 4
direct
0.0000 0.0000 0.0000
0.1633 0.2959 0.0000
0.1759 0.5913 0.5000
0.3241 0.0913 0.5000
0.3367 0.7959 0.0000
0.5000 0.5000 0.0000
0.6633 0.2041 0.0000
0.6759 0.9087 0.5000
0.8241 0.4087 0.5000
0.8367 0.7041 0.0000
0.0000 0.5000 0.0000
0.5000 0.0000 0.0000
0.0424 0.8336 0.5000
0.4576 0.3336 0.5000
0.5424 0.6664 0.5000
0.9576 0.1664 0.5000
```

Most intense lines, 10° ≤ 2θ ≤ 80°, low angle first:
24.99 deg, intensity 25
25.20 deg, intensity 23
28.16 deg, intensity 26
32.09 deg, intensity 27
32.49 deg, intensity 56
35.04 deg, intensity 100
36.52 deg, intensity 70
42.06 deg, intensity 46
44.88 deg, intensity 29
55.44 deg, intensity 22

=====

5.
Simulated X-ray diffraction stick pattern of Zr4Os2Rh for Cu Kα, from a DFT-relaxed cell (GGA-PBE, Alexandria).
Intensities are scaled so that the largest is 100.

Atomic structure:
```
Zr4Os2Rh
1.0
2.3095 1.3334 7.4737
-2.3095 1.3334 7.4737
0.0000 -2.6668 7.4737
Zr Os Rh
4 2 1
direct
0.1212 0.1212 0.1212
0.3715 0.3715 0.3715
0.6285 0.6285 0.6285
0.8788 0.8788 0.8788
0.2488 0.2488 0.2488
0.7512 0.7512 0.7512
0.5000 0.5000 0.5000
```

Most intense lines, 10° ≤ 2θ ≤ 80°, low angle first:
11.84 deg, intensity 8
23.61 deg, intensity 35
23.81 deg, intensity 12
39.00 deg, intensity 100
39.25 deg, intensity 97
46.21 deg, intensity 13
56.53 deg, intensity 33
70.64 deg, intensity 17
70.81 deg, intensity 33
71.31 deg, intensity 16

=====

6.
Simulated X-ray diffraction stick pattern of OsRu5 for Cu Kα, from a DFT-relaxed cell (GGA-PBE, Alexandria).
Intensities are scaled so that the largest is 100.

Atomic structure:
```
OsRu5
1.0
4.3158 0.0000 0.0000
0.0000 1.3646 7.1026
0.0000 -1.3646 7.1026
Os Ru
1 5
direct
0.0000 0.0000 0.0000
0.0000 0.3326 0.3326
0.0000 0.6658 0.6658
0.5000 0.1106 0.1106
0.5000 0.4438 0.4438
0.5000 0.7769 0.7769
```

Most intense lines, 10° ≤ 2θ ≤ 80°, low angle first:
12.46 deg, intensity 6
20.58 deg, intensity 2
24.13 deg, intensity 3
38.04 deg, intensity 26
39.58 deg, intensity 2
41.86 deg, intensity 25
43.63 deg, intensity 100
57.84 deg, intensity 15
68.73 deg, intensity 17
77.69 deg, intensity 18

=====

7.
Simulated X-ray diffraction stick pattern of Os2Ru for Cu Kα, from a DFT-relaxed cell (GGA-PBE, Alexandria).
Intensities are scaled so that the largest is 100.

Atomic structure:
```
Os2Ru
1.0
4.7522 0.0000 0.0000
-2.3729 4.1220 0.0000
-2.3756 -1.3742 4.3323
Os Ru
4 2
direct
0.1674 0.2511 0.2504
0.1666 0.4159 0.7503
0.8334 0.5841 0.2497
0.8326 0.7489 0.7496
0.5000 0.0832 0.7500
0.5000 0.9168 0.2500
```

Most intense lines, 10° ≤ 2θ ≤ 80°, low angle first:
22.65 deg, intensity 5
25.61 deg, intensity 4
35.18 deg, intensity 2
37.83 deg, intensity 24
41.70 deg, intensity 25
43.41 deg, intensity 100
57.56 deg, intensity 15
68.29 deg, intensity 12
68.38 deg, intensity 6
77.30 deg, intensity 19

=====

8.
Simulated X-ray diffraction stick pattern of Os3Ru5 for Cu Kα, from a DFT-relaxed cell (GGA-PBE, Alexandria).
Intensities are scaled so that the largest is 100.

Atomic structure:
```
Os3Ru5
1.0
2.7348 0.0000 0.0000
0.0000 4.3314 0.0000
0.0000 0.0000 9.4758
Os Ru
3 5
direct
0.0000 0.0000 0.0000
0.0000 0.5000 0.1671
0.5000 0.0000 0.2518
0.0000 0.0000 0.5008
0.0000 0.5000 0.6671
0.5000 0.0000 0.7505
0.5000 0.5000 0.4189
0.5000 0.5000 0.9174
```

Most intense lines, 10° ≤ 2θ ≤ 80°, low angle first:
35.16 deg, intensity 3
37.99 deg, intensity 25
40.14 deg, intensity 3
41.71 deg, intensity 25
42.83 deg, intensity 2
43.55 deg, intensity 100
48.81 deg, intensity 2
57.68 deg, intensity 15
68.63 deg, intensity 17
77.41 deg, intensity 18

=====

9.
Simulated X-ray diffraction stick pattern of OsRu3 for Cu Kα, from a DFT-relaxed cell (GGA-PBE, Alexandria).
Intensities are scaled so that the largest is 100.

Atomic structure:
```
OsRu3
1.0
5.4806 0.0000 0.0000
-2.7403 4.7463 0.0000
0.0000 0.0000 4.2994
Os Ru
2 6
direct
0.3333 0.6667 0.2500
0.6667 0.3333 0.7500
0.1672 0.3345 0.7500
0.1672 0.8328 0.7500
0.3345 0.1672 0.2500
0.6655 0.8328 0.7500
0.8328 0.1672 0.2500
0.8328 0.6655 0.2500
```

Most intense lines, 10° ≤ 2θ ≤ 80°, low angle first:
18.70 deg, intensity 4
28.00 deg, intensity 9
32.68 deg, intensity 4
37.91 deg, intensity 25
42.03 deg, intensity 25
43.56 deg, intensity 100
55.50 deg, intensity 3
57.88 deg, intensity 14
68.48 deg, intensity 17
77.86 deg, intensity 18

=====

10.
Simulated X-ray diffraction stick pattern of Os5Ru3 for Cu Kα, from a DFT-relaxed cell (GGA-PBE, Alexandria).
Intensities are scaled so that the largest is 100.

Atomic structure:
```
Os5Ru3
1.0
2.7429 0.0000 0.0000
0.0000 4.3409 0.0000
0.0000 0.0000 9.4953
Os Ru
5 3
direct
0.0000 0.0000 0.0000
0.0000 0.0000 0.4981
0.0000 0.5000 0.8334
0.5000 0.0000 0.7498
0.5000 0.5000 0.5824
0.0000 0.5000 0.3318
0.5000 0.0000 0.2496
0.5000 0.5000 0.0831
```

Most intense lines, 10° ≤ 2θ ≤ 80°, low angle first:
35.09 deg, intensity 2
37.89 deg, intensity 25
40.03 deg, intensity 2
41.61 deg, intensity 25
42.74 deg, intensity 1
43.44 deg, intensity 100
48.68 deg, intensity 1
57.53 deg, intensity 15
68.43 deg, intensity 17
77.20 deg, intensity 19

=====

11.
Simulated X-ray diffraction stick pattern of Os5Ru for Cu Kα, from a DFT-relaxed cell (GGA-PBE, Alexandria).
Intensities are scaled so that the largest is 100.

Atomic structure:
```
Os5Ru
1.0
4.3408 0.0000 0.0000
0.0000 1.3750 7.1447
0.0000 -1.3750 7.1447
Os Ru
5 1
direct
0.0000 0.0000 0.0000
0.0000 0.3328 0.3328
0.0000 0.6663 0.6663
0.5000 0.4438 0.4438
0.5000 0.7770 0.7770
0.5000 0.1112 0.1112
```

Most intense lines, 10° ≤ 2θ ≤ 80°, low angle first:
12.39 deg, intensity 3
20.46 deg, intensity 1
23.99 deg, intensity 1
37.77 deg, intensity 25
39.29 deg, intensity 1
41.61 deg, intensity 25
43.34 deg, intensity 100
57.45 deg, intensity 15
68.20 deg, intensity 17
77.13 deg, intensity 19

=====

12.
Simulated X-ray diffraction stick pattern of OsRu5 for Cu Kα, from a DFT-relaxed cell (GGA-PBE, Alexandria).
Intensities are scaled so that the largest is 100.

Atomic structure:
```
OsRu5
1.0
4.3175 0.0000 0.0000
0.0000 8.1877 0.0000
0.0000 0.0000 4.7308
Os Ru
2 10
direct
0.2500 0.2500 0.0820
0.7500 0.7500 0.9180
0.2500 0.0837 0.5810
0.2500 0.4163 0.5810
0.2500 0.5834 0.0843
0.2500 0.7500 0.5842
0.2500 0.9166 0.0843
0.7500 0.0834 0.9157
0.7500 0.2500 0.4158
0.7500 0.4166 0.9157
0.7500 0.5837 0.4190
0.7500 0.9163 0.4190
```

Most intense lines, 10° ≤ 2θ ≤ 80°, low angle first:
18.76 deg, intensity 2
21.70 deg, intensity 3
23.29 deg, intensity 3
30.07 deg, intensity 2
38.06 deg, intensity 25
41.85 deg, intensity 25
43.65 deg, intensity 100
57.84 deg, intensity 14
68.77 deg, intensity 17
77.67 deg, intensity 18